NbSe2: simulated powder diffraction line list (Cu Kα), based on a cell relaxed with PBE.

Cell and atoms:
```
6
Lattice="3.4881 0.0000 0.0000 -1.7441 3.0208 0.0000 0.0000 0.0000 13.8731" Properties=species:S:1:pos:R:3 pbc="T T T"
Nb 0.0000 2.0139 3.4683
Nb 1.7441 1.0069 10.4049
Se 0.0000 2.0139 8.7146
Se 0.0000 2.0139 12.0951
Se 1.7441 1.0069 1.7781
Se 1.7441 1.0069 5.1585
```

The 6 most intense peaks (2θ from 15° to 90°), sorted by position:
d (Å)  Position (°2θ)  I (rel.)
3.021  29.6  44
2.529  35.5  100
2.043  44.3  63
1.744  52.5  34
1.436  65.0  17
1.230  77.6  21

LaMg6Ni: simulated powder diffraction line list (Cu Kα), based on a cell relaxed with PBE.

Cell and atoms:
```
8
Lattice="4.8348 0.0000 0.0000 0.0000 3.1330 6.1034 0.0000 -3.1330 6.1034" Properties=species:S:1:pos:R:3 pbc="T T T"
La 0.0000 0.0000 0.0000
Mg 0.0000 0.0000 5.4516
Mg 0.0000 -1.5812 8.8421
Mg 0.0000 1.5812 8.8421
Mg 2.4174 -1.5283 4.3056
Mg 2.4174 1.5283 4.3056
Mg 2.4174 0.0000 7.4274
Ni 2.4174 0.0000 1.9525
```

The 6 most intense peaks (2θ from 15° to 90°), sorted by position:
d (Å)  Position (°2θ)  I (rel.)
5.574  15.9  71
3.790  23.5  35
3.652  24.4  31
2.788  32.1  80
2.581  34.8  50
2.416  37.2  100

USbSe: simulated powder diffraction line list (Cu Kα), based on a cell relaxed with PBE.

Cell and atoms:
```
6
Lattice="4.1714 0.0000 0.0000 0.0000 4.1714 0.0000 0.0000 0.0000 8.6522" Properties=species:S:1:pos:R:3 pbc="T T T"
U 1.0429 1.0429 1.7780
U 3.1286 3.1286 6.8743
Sb 1.0429 3.1286 4.3261
Sb 3.1286 1.0429 4.3261
Se 1.0429 1.0429 7.4880
Se 3.1286 3.1286 1.1642
```

The 6 most intense peaks (2θ from 15° to 90°), sorted by position:
d (Å)  Position (°2θ)  I (rel.)
3.758  23.7  72
2.884  31.0  48
2.792  32.1  78
2.437  36.9  100
2.086  43.4  56
1.690  54.3  40

CdTe: simulated powder diffraction line list (Cu Kα), based on a cell relaxed with PBE.

Cell and atoms:
```
4
Lattice="2.3605 -4.0362 0.0000 2.3605 4.0362 0.0000 0.0000 0.0000 7.6369" Properties=species:S:1:pos:R:3 pbc="T T T"
Cd 2.3605 2.8130 3.8185
Cd 2.3605 -2.8130 0.0000
Te 2.3605 2.5655 6.6849
Te 2.3605 -2.5655 2.8665
```

The 6 most intense peaks (2θ from 15° to 90°), sorted by position:
d (Å)  Position (°2θ)  I (rel.)
4.075  21.8  100
3.818  23.3  88
3.595  24.8  69
2.338  38.5  86
2.159  41.8  94
1.994  45.5  53